1.
Li12Mg6Al: simulated powder diffractogram (CuKα), based on DFT lattice parameters and positions (GGA-PBE).
Kinematic intensities with the Lorentz-polarization factor, no thermal factor.

Largest 10 diffraction maxima, by angle, 15 to 90 degrees two-theta:
17.49 deg, I = 52
21.90 deg, I = 34
24.32 deg, I = 17
26.77 deg, I = 18
27.70 deg, I = 38
36.12 deg, I = 100
36.84 deg, I = 24
38.24 deg, I = 18
38.40 deg, I = 65
39.41 deg, I = 33

Atomic structure:
```
Li12Mg6Al
1.0
5.288 3.053 4.059
-5.288 3.053 4.059
0.000 -6.106 4.059
Li Mg Al
12 6 1
direct
0.032 0.296 0.950 Li
0.050 0.968 0.704 Li
0.134 0.353 0.451 Li
0.296 0.950 0.032 Li
0.353 0.451 0.134 Li
0.451 0.134 0.353 Li
0.549 0.866 0.647 Li
0.647 0.549 0.866 Li
0.704 0.050 0.968 Li
0.866 0.647 0.549 Li
0.950 0.032 0.296 Li
0.968 0.704 0.050 Li
0.225 0.762 0.385 Mg
0.238 0.615 0.775 Mg
0.385 0.225 0.762 Mg
0.615 0.775 0.238 Mg
0.762 0.385 0.225 Mg
0.775 0.238 0.615 Mg
0.500 0.500 0.500 Al
```

---

2.
Li2Mg9Al: simulated powder diffractogram (CuKα), based on DFT lattice parameters and positions (GGA-PBE).
Kinematic intensities with the Lorentz-polarization factor, no thermal factor.

Largest 10 diffraction maxima, by angle, 15 to 90 degrees two-theta:
26.05 deg, I = 49
34.59 deg, I = 57
35.00 deg, I = 53
35.69 deg, I = 100
36.19 deg, I = 80
36.55 deg, I = 41
36.80 deg, I = 39
37.38 deg, I = 79
39.53 deg, I = 40
41.46 deg, I = 28

Atomic structure:
```
Li2Mg9Al
1.0
5.242 0.000 0.000
2.561 7.001 0.000
1.553 1.567 7.370
Li Mg Al
2 9 1
direct
0.240 0.439 0.346 Li
0.760 0.561 0.654 Li
0.000 0.500 0.000 Mg
0.023 0.867 0.187 Mg
0.111 0.781 0.617 Mg
0.415 0.322 0.695 Mg
0.458 0.147 0.114 Mg
0.542 0.853 0.886 Mg
0.585 0.678 0.305 Mg
0.889 0.219 0.383 Mg
0.977 0.133 0.813 Mg
0.500 0.000 0.500 Al
```

---

3.
LiMg16Al12: simulated powder diffractogram (CuKα), based on DFT lattice parameters and positions (GGA-PBE).
Kinematic intensities with the Lorentz-polarization factor, no thermal factor.

Largest 10 diffraction maxima, by angle, 15 to 90 degrees two-theta:
34.13 deg, I = 7
36.27 deg, I = 100
40.25 deg, I = 32
42.12 deg, I = 11
43.94 deg, I = 19
61.10 deg, I = 5
65.24 deg, I = 27
66.60 deg, I = 7
70.57 deg, I = 5
77.00 deg, I = 9

Atomic structure:
```
LiMg16Al12
1.0
7.427 4.288 3.037
-7.427 4.288 3.037
0.000 -8.576 3.037
Li Mg Al
1 16 12
direct
0.000 0.000 0.000 Li
0.013 0.013 0.614 Mg
0.013 0.614 0.013 Mg
0.041 0.732 0.732 Mg
0.327 0.327 0.327 Mg
0.328 0.644 0.928 Mg
0.328 0.928 0.644 Mg
0.329 0.329 0.674 Mg
0.329 0.674 0.329 Mg
0.614 0.013 0.013 Mg
0.644 0.328 0.928 Mg
0.644 0.928 0.328 Mg
0.674 0.329 0.329 Mg
0.732 0.041 0.732 Mg
0.732 0.732 0.041 Mg
0.928 0.328 0.644 Mg
0.928 0.644 0.328 Mg
0.144 0.329 0.963 Al
0.144 0.963 0.329 Al
0.145 0.515 0.515 Al
0.329 0.144 0.963 Al
0.329 0.963 0.144 Al
0.507 0.692 0.692 Al
0.515 0.145 0.515 Al
0.515 0.515 0.145 Al
0.692 0.507 0.692 Al
0.692 0.692 0.507 Al
0.963 0.144 0.329 Al
0.963 0.329 0.144 Al
```

---

4.
Li6Mg4Al: simulated powder diffractogram (CuKα), based on DFT lattice parameters and positions (GGA-PBE).
Kinematic intensities with the Lorentz-polarization factor, no thermal factor.

Largest 10 diffraction maxima, by angle, 15 to 90 degrees two-theta:
16.17 deg, I = 23
22.38 deg, I = 27
24.41 deg, I = 36
24.88 deg, I = 27
32.72 deg, I = 30
37.47 deg, I = 100
38.10 deg, I = 49
38.67 deg, I = 26
39.89 deg, I = 24
67.64 deg, I = 17

Atomic structure:
```
Li6Mg4Al
1.0
3.775 -4.155 0.000
3.775 4.155 0.000
-1.872 0.000 7.050
Li Mg Al
6 4 1
direct
0.000 0.000 0.000 Li
0.104 0.482 0.812 Li
0.331 0.694 0.513 Li
0.411 0.411 0.151 Li
0.482 0.104 0.812 Li
0.694 0.331 0.513 Li
0.165 0.165 0.420 Mg
0.542 0.921 0.194 Mg
0.847 0.847 0.588 Mg
0.921 0.542 0.194 Mg
0.612 0.612 0.850 Al
```

---

5.
Li5Mg2Al2: simulated powder diffractogram (CuKα), based on DFT lattice parameters and positions (GGA-PBE).
Kinematic intensities with the Lorentz-polarization factor, no thermal factor.

Largest 10 diffraction maxima, by angle, 15 to 90 degrees two-theta:
15.64 deg, I = 100
25.69 deg, I = 23
31.60 deg, I = 14
34.86 deg, I = 76
35.90 deg, I = 11
37.81 deg, I = 54
38.57 deg, I = 32
41.71 deg, I = 40
41.86 deg, I = 15
42.61 deg, I = 11

Atomic structure:
```
Li5Mg2Al2
1.0
-6.413 5.665 2.334
6.413 -5.665 2.334
6.413 5.665 -2.334
Li Mg Al
10 4 4
direct
0.172 0.043 0.216 Li
0.172 0.457 0.629 Li
0.180 0.252 0.428 Li
0.309 0.649 0.954 Li
0.309 0.854 0.160 Li
0.694 0.149 0.840 Li
0.694 0.354 0.046 Li
0.824 0.752 0.572 Li
0.828 0.543 0.371 Li
0.828 0.957 0.784 Li
0.447 0.252 0.695 Mg
0.501 0.001 0.500 Mg
0.501 0.501 0.000 Mg
0.556 0.752 0.305 Mg
0.055 0.647 0.699 Al
0.055 0.856 0.908 Al
0.948 0.147 0.092 Al
0.948 0.356 0.301 Al
```

---

6.
Li5Mg5Al2: simulated powder diffractogram (CuKα), based on DFT lattice parameters and positions (GGA-PBE).
Kinematic intensities with the Lorentz-polarization factor, no thermal factor.

Largest 10 diffraction maxima, by angle, 15 to 90 degrees two-theta:
20.30 deg, I = 27
21.62 deg, I = 23
26.68 deg, I = 24
37.18 deg, I = 22
37.47 deg, I = 99
37.70 deg, I = 100
38.03 deg, I = 49
38.14 deg, I = 50
54.95 deg, I = 30
68.64 deg, I = 29

Atomic structure:
```
Li5Mg5Al2
1.0
7.099 -2.360 0.000
7.099 2.360 0.000
-4.790 0.000 6.858
Li Mg Al
5 5 2
direct
0.000 0.000 0.000 Li
0.072 0.072 0.745 Li
0.245 0.245 0.271 Li
0.755 0.755 0.729 Li
0.928 0.928 0.255 Li
0.320 0.320 0.993 Mg
0.411 0.411 0.744 Mg
0.500 0.500 0.500 Mg
0.589 0.589 0.256 Mg
0.680 0.680 0.007 Mg
0.161 0.161 0.515 Al
0.839 0.839 0.485 Al
```

---

7.
Li3MgAl2: simulated powder diffractogram (CuKα), based on DFT lattice parameters and positions (GGA-PBE).
Kinematic intensities with the Lorentz-polarization factor, no thermal factor.

Largest 10 diffraction maxima, by angle, 15 to 90 degrees two-theta:
20.99 deg, I = 31
24.54 deg, I = 100
25.28 deg, I = 45
35.19 deg, I = 22
35.33 deg, I = 22
38.78 deg, I = 66
40.11 deg, I = 92
40.34 deg, I = 87
40.47 deg, I = 83
71.30 deg, I = 30

Atomic structure:
```
Li3MgAl2
1.0
5.926 0.000 0.000
0.000 4.644 0.000
-1.544 0.000 7.623
Li Mg Al
6 2 4
direct
0.062 0.250 0.233 Li
0.222 0.250 0.876 Li
0.391 0.250 0.552 Li
0.609 0.750 0.448 Li
0.778 0.750 0.124 Li
0.938 0.750 0.767 Li
0.283 0.750 0.111 Mg
0.717 0.250 0.889 Mg
0.116 0.750 0.458 Al
0.433 0.750 0.767 Al
0.567 0.250 0.233 Al
0.884 0.250 0.542 Al
```

---

8.
LiMg16Al12: simulated powder diffractogram (CuKα), based on DFT lattice parameters and positions (GGA-PBE).
Kinematic intensities with the Lorentz-polarization factor, no thermal factor.

Largest 10 diffraction maxima, by angle, 15 to 90 degrees two-theta:
34.09 deg, I = 11
36.23 deg, I = 100
40.21 deg, I = 33
42.08 deg, I = 10
43.88 deg, I = 23
62.42 deg, I = 7
65.16 deg, I = 27
66.51 deg, I = 8
67.85 deg, I = 7
76.90 deg, I = 9

Atomic structure:
```
LiMg16Al12
1.0
-5.260 5.260 5.260
5.260 -5.260 5.260
5.260 5.260 -5.260
Li Mg Al
1 16 12
direct
0.000 0.000 0.000 Li
0.000 0.000 0.661 Mg
0.000 0.400 0.685 Mg
0.000 0.661 0.000 Mg
0.000 0.685 0.400 Mg
0.285 0.600 0.600 Mg
0.315 0.315 0.715 Mg
0.315 0.715 0.315 Mg
0.339 0.339 0.339 Mg
0.400 0.000 0.685 Mg
0.400 0.685 0.000 Mg
0.600 0.285 0.600 Mg
0.600 0.600 0.285 Mg
0.661 0.000 0.000 Mg
0.685 0.000 0.400 Mg
0.685 0.400 0.000 Mg
0.715 0.315 0.315 Mg
0.000 0.186 0.368 Al
0.000 0.368 0.186 Al
0.182 0.814 0.814 Al
0.186 0.000 0.368 Al
0.186 0.368 0.000 Al
0.368 0.000 0.186 Al
0.368 0.186 0.000 Al
0.632 0.632 0.818 Al
0.632 0.818 0.632 Al
0.814 0.182 0.814 Al
0.814 0.814 0.182 Al
0.818 0.632 0.632 Al
```

---

9.
LiMgAl4: simulated powder diffractogram (CuKα), based on DFT lattice parameters and positions (GGA-PBE).
Kinematic intensities with the Lorentz-polarization factor, no thermal factor.

Largest 10 diffraction maxima, by angle, 15 to 90 degrees two-theta:
20.32 deg, I = 15
37.43 deg, I = 55
37.85 deg, I = 100
37.99 deg, I = 50
43.83 deg, I = 65
44.06 deg, I = 33
63.52 deg, I = 32
64.28 deg, I = 20
76.04 deg, I = 12
76.79 deg, I = 23

Atomic structure:
```
LiMgAl4
1.0
2.506 -4.370 0.000
2.506 4.370 0.000
-1.661 0.000 4.805
Li Mg Al
1 1 4
direct
0.000 0.000 0.000 Li
0.500 0.500 0.500 Mg
0.171 0.829 0.500 Al
0.323 0.677 0.000 Al
0.677 0.323 0.000 Al
0.829 0.171 0.500 Al
```

---

10.
Li2MgAl6: simulated powder diffractogram (CuKα), based on DFT lattice parameters and positions (GGA-PBE).
Kinematic intensities with the Lorentz-polarization factor, no thermal factor.

Largest 10 diffraction maxima, by angle, 15 to 90 degrees two-theta:
22.45 deg, I = 25
29.79 deg, I = 30
37.58 deg, I = 53
37.68 deg, I = 26
39.40 deg, I = 100
50.12 deg, I = 13
50.24 deg, I = 20
55.68 deg, I = 17
70.37 deg, I = 12
75.99 deg, I = 14

Atomic structure:
```
Li2MgAl6
1.0
3.782 -3.956 0.000
3.782 3.956 0.000
-0.402 0.000 5.448
Li Mg Al
2 1 6
direct
0.163 0.163 0.164 Li
0.837 0.837 0.836 Li
0.500 0.500 0.500 Mg
0.000 0.334 0.667 Al
0.000 0.666 0.333 Al
0.333 0.667 0.000 Al
0.334 0.000 0.667 Al
0.666 0.000 0.333 Al
0.667 0.333 0.000 Al
```

---

11.
Li6MgAl: simulated powder diffractogram (CuKα), based on DFT lattice parameters and positions (GGA-PBE).
Kinematic intensities with the Lorentz-polarization factor, no thermal factor.

Largest 10 diffraction maxima, by angle, 15 to 90 degrees two-theta:
18.74 deg, I = 100
32.77 deg, I = 23
37.11 deg, I = 48
37.23 deg, I = 24
38.01 deg, I = 59
46.21 deg, I = 19
46.38 deg, I = 19
51.04 deg, I = 13
61.29 deg, I = 16
61.46 deg, I = 11

Atomic structure:
```
Li6MgAl
1.0
2.732 -4.737 0.000
2.732 4.737 0.000
-0.029 0.000 5.631
Li Mg Al
6 1 1
direct
0.001 0.001 0.262 Li
0.001 0.500 0.739 Li
0.500 0.001 0.739 Li
0.500 0.999 0.261 Li
0.999 0.500 0.261 Li
0.999 0.999 0.738 Li
0.500 0.500 0.000 Mg
0.500 0.500 0.500 Al
```